# 1
Structure and simulated X-ray diffraction stick pattern of LiThFeGe2 (a cell relaxed with GGA-PBE; λ = 1.5418 Å (Cu Kα)).
Kinematic intensities with the Lorentz-polarization factor, no thermal factor.

Cell and atoms:
abc: 4.131 4.131 10.538
angles: 90.00 90.00 90.00
Space group I-4m2 (No. 119)
Symmetry-distinct sites (fractional):
1 Li 0.000 0.000 0.000 [2 per cell]
2 Th 0.000 0.500 0.250 [2 per cell]
3 Fe 0.000 0.000 0.500 [2 per cell]
4 Ge 0.000 0.500 0.626 [4 per cell]

Top 6 peaks for 10° ≤ 2θ ≤ 90°, in order of rising 2θ:
2θ (°)	I_rel	(hkl)
30.61	55	1 1 0
33.49	100	1 0 3
35.13	67	1 1 2
43.83	41	2 0 0
48.49	37	1 0 5
56.26	46	2 1 3


# 2
Structure and simulated X-ray diffraction stick pattern of LuFe4Ge2 (a cell relaxed with GGA-PBE; λ = 1.5418 Å (Cu Kα)).
Kinematic intensities with the Lorentz-polarization factor, no thermal factor.

Cell and atoms:
abc: 6.590 7.534 4.060
angles: 90.00 90.00 90.00
Space group Pnnm (No. 58)
Symmetry-distinct sites (fractional):
1 Lu 0.000 0.000 0.000 [2 per cell]
2 Fe 0.068 0.350 0.500 [4 per cell]
3 Fe 0.142 0.623 0.000 [4 per cell]
4 Ge 0.244 0.815 0.500 [4 per cell]

Top 6 peaks for 10° ≤ 2θ ≤ 90°, in order of rising 2θ:
2θ (°)	I_rel	(hkl)
35.24	59	1 2 1
36.22	39	2 2 0
37.11	100	2 1 1
38.36	53	1 3 0
44.63	64	0 0 2
48.65	36	3 1 1


# 3
Structure and simulated X-ray diffraction stick pattern of Lu4FeGe8 (a cell relaxed with GGA-PBE; λ = 1.5418 Å (Cu Kα)).
Kinematic intensities with the Lorentz-polarization factor, no thermal factor.

Cell and atoms:
abc: 3.978 4.085 15.538
angles: 90.00 90.00 90.00
Space group Pmm2 (No. 25)
Symmetry-distinct sites (fractional):
1 Lu 0.000 0.000 0.000 [1 per cell]
2 Lu 0.000 0.500 0.492 [1 per cell]
3 Lu 0.500 0.000 0.790 [1 per cell]
4 Lu 0.500 0.500 0.291 [1 per cell]
5 Fe 0.000 0.500 0.703 [1 per cell]
6 Ge 0.000 0.000 0.335 [1 per cell]
7 Ge 0.000 0.000 0.631 [1 per cell]
8 Ge 0.000 0.500 0.143 [1 per cell]
9 Ge 0.000 0.500 0.851 [1 per cell]
10 Ge 0.500 0.000 0.147 [1 per cell]
11 Ge 0.500 0.000 0.448 [1 per cell]
12 Ge 0.500 0.500 0.629 [1 per cell]
13 Ge 0.500 0.500 0.960 [1 per cell]

Top 6 peaks for 10° ≤ 2θ ≤ 90°, in order of rising 2θ:
2θ (°)	I_rel	(hkl)
25.15	17	1 0 2
34.64	16	0 0 6
35.97	100	1 1 3
36.32	17	0 1 5
44.35	18	0 2 0
45.60	17	2 0 0


# 4
Structure and simulated X-ray diffraction stick pattern of MnFe4Ge2 (a cell relaxed with GGA-PBE; λ = 1.5418 Å (Cu Kα)).
Kinematic intensities with the Lorentz-polarization factor, no thermal factor.

Cell and atoms:
abc: 4.855 8.423 9.038
angles: 90.00 90.00 90.00
Space group Fmmm (No. 69)
Symmetry-distinct sites (fractional):
1 Mn 0.000 0.000 0.000 [4 per cell]
2 Fe 0.000 0.201 0.500 [8 per cell]
3 Fe 0.250 0.250 0.250 [8 per cell]
4 Ge 0.000 0.000 0.313 [8 per cell]

Top 6 peaks for 10° ≤ 2θ ≤ 90°, in order of rising 2θ:
2θ (°)	I_rel	(hkl)
36.69	68	1 1 3
39.90	44	0 0 4
42.26	30	2 0 2
42.98	99	0 4 0
47.69	96	2 2 2
48.10	100	1 3 3